# LaY5Er2
Calculated powder diffraction line list, a wavelength of 1.5418 Å. Input: the GGA-PBE geometry in Alexandria.

Cell and atoms:
Cell: 8.5097 7.2907 6.7704 Å, 74.38 55.60 50.02°
Element x y z (fractional)
La: 0.0000 0.0000 0.0000
Y: 0.0020 0.5025 0.9980
Y: 0.0852 0.0852 0.4148
Y: 0.5025 0.5025 0.4975
Y: 0.5025 0.0020 0.4975
Y: 0.5852 0.5852 0.9148
Er: 0.0876 0.5833 0.4167
Er: 0.5833 0.0876 0.9124

The 10 most intense peaks (2θ from 10° to 90°), by angle:
- 28.27°, rel. 25
- 31.36°, rel. 24
- 32.41°, rel. 100
- 42.72°, rel. 16
- 50.04°, rel. 20
- 56.49°, rel. 20
- 60.26°, rel. 22
- 60.89°, rel. 16
- 82.61°, rel. 13
- 86.68°, rel. 8